For NaPu4Se5, a GGA-PBE-relaxed structure gives the simulated powder diffraction line list in this record (a wavelength of 1.5418 Å).
No peak broadening, texture or thermal motion is included.

Most intense lines, 2θ from 10° to 90°, low angle first:
- 26.1°, I 24
- 26.3°, I 24
- 30.2°, I 100
- 30.4°, I 49
- 43.0°, I 19
- 43.5°, I 75
- 43.6°, I 21
- 53.6°, I 20
- 54.1°, I 20
- 71.8°, I 26

Cell and atoms:
abc: 11.116 11.116 11.116
angles: 158.48 149.37 37.74
Atoms (fractional coordinates):
Na (0.000, 0.000, 0.000)
Pu (0.202, 0.202, 0.000)
Pu (0.402, 0.402, 0.000)
Pu (0.598, 0.598, 0.000)
Pu (0.798, 0.798, 0.000)
Se (0.104, 0.604, 0.500)
Se (0.301, 0.801, 0.500)
Se (0.500, 0.000, 0.500)
Se (0.699, 0.199, 0.500)
Se (0.896, 0.396, 0.500)

***

For TlBrO3, a GGA-PBE-relaxed structure gives the simulated powder diffraction line list in this record (a wavelength of 1.5418 Å).
No peak broadening, texture or thermal motion is included.

Most intense lines, 2θ from 10° to 90°, low angle first:
- 19.3°, I 22
- 26.1°, I 100
- 28.7°, I 69
- 34.8°, I 14
- 39.2°, I 38
- 44.4°, I 24
- 49.3°, I 30
- 50.9°, I 14
- 62.0°, I 20
- 66.0°, I 15

Cell and atoms:
abc: 6.220 6.220 8.828
angles: 90.00 90.00 120.00
Atoms (fractional coordinates):
Tl (0.000, 0.000, 0.000)
Tl (0.333, 0.667, 0.667)
Tl (0.667, 0.333, 0.333)
Br (0.000, 0.000, 0.493)
Br (0.333, 0.667, 0.159)
Br (0.667, 0.333, 0.826)
O (0.189, 0.379, 0.236)
O (0.189, 0.811, 0.236)
O (0.288, 0.144, 0.570)
O (0.523, 0.045, 0.903)
O (0.523, 0.477, 0.903)
O (0.621, 0.811, 0.236)
O (0.856, 0.144, 0.570)
O (0.856, 0.712, 0.570)
O (0.955, 0.477, 0.903)

***

For Th4Ni3Ru, a GGA-PBE-relaxed structure gives the simulated powder diffraction line list in this record (a wavelength of 1.5418 Å).
No peak broadening, texture or thermal motion is included.

Most intense lines, 2θ from 10° to 90°, low angle first:
- 26.5°, I 33
- 32.7°, I 100
- 34.0°, I 23
- 40.3°, I 38
- 42.5°, I 18
- 47.9°, I 13
- 52.8°, I 14
- 54.7°, I 21
- 55.6°, I 21
- 75.6°, I 18

Cell and atoms:
abc: 3.798 4.250 10.965
angles: 90.00 90.00 90.00
Atoms (fractional coordinates):
Th (0.000, 0.000, 0.000)
Th (0.000, 0.500, 0.269)
Th (0.500, 0.000, 0.498)
Th (0.500, 0.500, 0.767)
Ni (0.000, 0.000, 0.718)
Ni (0.000, 0.500, 0.553)
Ni (0.500, 0.500, 0.038)
Ru (0.500, 0.000, 0.229)

***

For Li2CdCo, a GGA-PBE-relaxed structure gives the simulated powder diffraction line list in this record (a wavelength of 1.5418 Å).
No peak broadening, texture or thermal motion is included.

Most intense lines, 2θ from 10° to 90°, low angle first:
- 18.3°, I 100
- 24.5°, I 37
- 28.9°, I 22
- 34.2°, I 35
- 39.2°, I 27
- 39.3°, I 28
- 39.8°, I 52
- 44.4°, I 18
- 45.2°, I 17
- 46.4°, I 34

Cell and atoms:
abc: 9.293 2.739 4.902
angles: 90.00 99.40 90.00
Atoms (fractional coordinates):
Li (0.000, 0.000, 0.000)
Li (0.239, 0.000, 0.763)
Li (0.500, 0.500, 0.000)
Li (0.739, 0.500, 0.763)
Cd (0.485, 0.000, 0.476)
Cd (0.985, 0.500, 0.476)
Co (0.239, 0.500, 0.261)
Co (0.739, 0.000, 0.261)